1.
Computed powder X-ray diffraction pattern of OsO4 for CuKα, from a crystal structure in OQMD, relaxed with GGA-PBE.
Peak positions follow from Bragg's law for the DFT cell and can differ from measured ones.

The 8 most intense peaks (10 to 90 degrees two-theta), by angle:
| index | 2θ/deg | I (rel.) |
| --- | --- | --- |
| 0 0 1 | 22.76 | 38.0 |
| 1 1 0 | 23.62 | 100.0 |
| 2 0 0 | 23.74 | 29.2 |
| 1 1 -1 | 28.63 | 39.4 |
| 1 1 1 | 36.97 | 22.0 |
| 3 1 -1 | 38.07 | 20.6 |
| 3 1 -2 | 47.81 | 18.1 |
| 2 2 0 | 48.30 | 23.5 |

Structural model:
a b c (Å): 8.574 4.356 4.468
angles (deg): 90.00 119.03 90.00
Space group C2 (No. 5)
Symmetry-distinct sites (fractional):
Os: 0.000 0.000 0.000 x2
O: 0.123 0.771 0.351 x4
O: 0.138 0.231 0.918 x4

=====

2.
Computed powder X-ray diffraction pattern of HoErGa4Ag2 for CuKα, from a crystal structure in OQMD, relaxed with GGA-PBE.
Peak positions follow from Bragg's law for the DFT cell and can differ from measured ones.

The 8 most intense peaks (10 to 90 degrees two-theta), by angle:
| index | 2θ/deg | I (rel.) |
| --- | --- | --- |
| 0 0 4 | 34.32 | 18.8 |
| 2 1 1 | 34.71 | 100.0 |
| 1 1 3 | 35.26 | 99.5 |
| 1 0 4 | 36.99 | 30.0 |
| 0 2 0 | 39.97 | 45.1 |
| 2 1 3 | 42.69 | 30.1 |
| 4 0 0 | 55.58 | 27.8 |
| 1 3 3 | 69.59 | 24.9 |

Structural model:
a b c (Å): 6.616 4.512 10.452
angles (deg): 90.00 90.00 90.00
Space group Amm2 (No. 38)
Symmetry-distinct sites (fractional):
Ho: 0.000 0.000 0.000 x2
Er: 0.500 0.000 0.816 x2
Ga: 0.200 0.000 0.290 x4
Ga: 0.301 0.000 0.526 x4
Ag: 0.000 0.000 0.708 x2
Ag: 0.500 0.000 0.108 x2

=====

3.
Computed powder X-ray diffraction pattern of Na3U3As2 for CuKα, from a crystal structure in OQMD, relaxed with GGA-PBE.
Peak positions follow from Bragg's law for the DFT cell and can differ from measured ones.

The 8 most intense peaks (10 to 90 degrees two-theta), by angle:
| index | 2θ/deg | I (rel.) |
| --- | --- | --- |
| 1 0 0 | 20.50 | 100.0 |
| 1 0 1 | 21.74 | 55.6 |
| 1 1 0 | 29.15 | 36.0 |
| 1 1 1 | 30.04 | 39.7 |
| 2 0 0 | 41.69 | 32.1 |
| 1 0 5 | 42.18 | 34.2 |
| 2 1 0 | 46.89 | 24.3 |
| 1 1 5 | 47.34 | 27.0 |

Structural model:
a b c (Å): 4.333 4.333 12.322
angles (deg): 90.00 90.00 90.00
Space group P-4m2 (No. 115)
Symmetry-distinct sites (fractional):
Na: 0.000 0.000 0.000 x1
Na: 0.000 0.000 0.500 x1
Na: 0.500 0.500 0.000 x1
U: 0.500 0.500 0.301 x2
U: 0.500 0.500 0.500 x1
As: 0.000 0.500 0.840 x2

=====

4.
Computed powder X-ray diffraction pattern of Al2Ni3 for CuKα, from a crystal structure in OQMD, relaxed with GGA-PBE.
Peak positions follow from Bragg's law for the DFT cell and can differ from measured ones.

The 8 most intense peaks (10 to 90 degrees two-theta), by angle:
| index | 2θ/deg | I (rel.) |
| --- | --- | --- |
| 1 1 0 | 14.47 | 20.7 |
| 1 0 1 | 21.16 | 22.0 |
| 0 0 2 | 37.46 | 53.6 |
| 4 1 0 | 43.08 | 76.4 |
| 3 3 0 | 44.39 | 60.4 |
| 4 1 1 | 47.24 | 100.0 |
| 3 3 1 | 48.47 | 41.4 |
| 4 1 3 | 74.55 | 23.3 |

Structural model:
a b c (Å): 8.659 8.659 4.801
angles (deg): 90.00 90.00 90.00
Space group P4_2/mnm (No. 136)
Symmetry-distinct sites (fractional):
Al: 0.106 0.106 0.000 x4
Al: 0.186 0.814 0.251 x8
Ni: 0.000 0.000 0.500 x2
Ni: 0.037 0.364 0.000 x8
Ni: 0.064 0.268 0.500 x8

=====

5.
Computed powder X-ray diffraction pattern of Cu14Te for CuKα, from a crystal structure in OQMD, relaxed with GGA-PBE.
Peak positions follow from Bragg's law for the DFT cell and can differ from measured ones.

The 8 most intense peaks (10 to 90 degrees two-theta), by angle:
| index | 2θ/deg | I (rel.) |
| --- | --- | --- |
| 1 1 9 | 41.00 | 39.7 |
| 2 1 -4 | 42.42 | 35.1 |
| 1 1 10 | 43.35 | 98.7 |
| 2 1 -5 | 43.46 | 100.0 |
| 0 2 0 | 49.94 | 34.9 |
| 1 0 -15 | 50.03 | 42.2 |
| 3 0 5 | 51.69 | 30.8 |
| 2 3 -5 | 89.22 | 29.8 |

Structural model:
a b c (Å): 5.604 3.652 28.777
angles (deg): 90.00 90.89 90.00
Space group P2_1/m (No. 11)
Symmetry-distinct sites (fractional):
Cu: 0.038 0.250 0.270 x2
Cu: 0.050 0.250 0.071 x2
Cu: 0.052 0.250 0.869 x2
Cu: 0.144 0.750 0.211 x2
Cu: 0.150 0.750 0.010 x2
Cu: 0.155 0.750 0.809 x2
Cu: 0.248 0.250 0.151 x2
Cu: 0.250 0.250 0.950 x2
Cu: 0.256 0.250 0.748 x2
Cu: 0.349 0.750 0.091 x2
Cu: 0.352 0.750 0.889 x2
Cu: 0.449 0.250 0.030 x2
Cu: 0.455 0.250 0.233 x2
Cu: 0.455 0.250 0.829 x2
Te: 0.342 0.750 0.302 x2

=====

6.
Computed powder X-ray diffraction pattern of UH18C24N4Cl6 for CuKα, from a crystal structure in OQMD, relaxed with GGA-PBE.
Peak positions follow from Bragg's law for the DFT cell and can differ from measured ones.

The 8 most intense peaks (10 to 90 degrees two-theta), by angle:
| index | 2θ/deg | I (rel.) |
| --- | --- | --- |
| 1 0 0 | 11.69 | 46.0 |
| 0 1 1 | 13.10 | 100.0 |
| 1 0 1 | 13.51 | 38.8 |
| 0 1 -1 | 14.67 | 63.8 |
| 1 1 0 | 15.66 | 53.3 |
| 1 -1 1 | 18.67 | 48.1 |
| 1 1 -1 | 18.91 | 37.5 |
| 2 1 2 | 28.08 | 82.6 |

Structural model:
a b c (Å): 7.645 7.999 10.882
angles (deg): 82.74 82.72 85.35
Space group P-1 (No. 2)
Symmetry-distinct sites (fractional):
U: 0.000 0.000 0.000 x1
H: 0.022 0.352 0.240 x2
H: 0.034 0.894 0.599 x2
H: 0.104 0.359 0.715 x2
H: 0.287 0.181 0.566 x2
H: 0.322 0.425 0.975 x2
H: 0.328 0.838 0.272 x2
H: 0.376 0.694 0.836 x2
H: 0.475 0.160 0.363 x2
H: 0.486 0.155 0.915 x2
C: 0.058 0.628 0.671 x2
C: 0.090 0.768 0.580 x2
C: 0.127 0.470 0.647 x2
C: 0.231 0.452 0.532 x2
C: 0.257 0.601 0.448 x2
C: 0.310 0.293 0.499 x2
C: 0.366 0.586 0.332 x2
C: 0.412 0.426 0.889 x2
C: 0.413 0.281 0.388 x2
C: 0.442 0.574 0.812 x2
C: 0.446 0.428 0.301 x2
C: 0.499 0.275 0.857 x2
N: 0.187 0.756 0.471 x2
N: 0.396 0.726 0.250 x2
Cl: 0.092 0.685 0.056 x2
Cl: 0.229 0.007 0.799 x2
Cl: 0.239 0.091 0.131 x2